Starting from a DFT-relaxed cell (GGA-PBE, the Materials Project), the XRD peak list of SmYCo4 was computed for λ = 1.5418 Å (Cu Kα).
Lines closer than 0.1° are merged.

Top 6 peaks for 5° ≤ 2θ ≤ 70°, by intensity:
d [Å]	I_rel
2.170	1000
2.545	522
1.385	299
2.078	214
1.469	187
4.156	77

Structure:
```
data_SmYCo4
_chemical_formula_sum 'Sm1 Y1 Co4'
_symmetry_space_group_name_H-M 'P 1'
_symmetry_Int_Tables_number 1
_cell_length_a 5.090
_cell_length_b 5.090
_cell_length_c 5.090
_cell_angle_alpha 60.00
_cell_angle_beta 60.00
_cell_angle_gamma 60.00
loop_
_symmetry_equiv_pos_as_xyz
'x,y,z'
loop_
_atom_site_label
_atom_site_fract_x
_atom_site_fract_y
_atom_site_fract_z
_atom_site_occupancy
Sm1 0.000 0.000 0.000 1
Y1 0.250 0.250 0.250 1
Co1 0.125 0.625 0.625 1
Co2 0.625 0.125 0.625 1
Co3 0.625 0.625 0.125 1
Co4 0.625 0.625 0.625 1
```